Theoretical X-ray diffraction stick pattern of Na2Si2Sn2SO12 for Cu Kα, from the GGA-PBE geometry in the Materials Project.
Peak positions follow from Bragg's law for the DFT cell and can differ from measured ones.

Atomic structure:
a = 8.957 Å, b = 8.957 Å, c = 9.186 Å
α = 119.18°, β = 119.18°, γ = 59.95°
Positions (direct):
1 Na 0.059 0.941 0.500
2 Na 0.176 0.674 0.760
3 Na 0.674 0.176 0.260
4 Na 0.941 0.059 0.000
5 Si 0.146 0.234 0.512
6 Si 0.234 0.146 0.012
7 Si 0.729 0.940 0.516
8 Si 0.940 0.729 0.016
9 Sn 0.038 0.540 0.319
10 Sn 0.329 0.850 0.204
11 Sn 0.540 0.038 0.819
12 Sn 0.850 0.329 0.704
13 S 0.440 0.641 0.509
14 S 0.641 0.440 0.009
15 O 0.052 0.157 0.834
16 O 0.122 0.419 0.495
17 O 0.122 0.749 0.029
18 O 0.157 0.052 0.334
19 O 0.197 0.322 0.183
20 O 0.251 0.958 0.021
21 O 0.276 0.627 0.497
22 O 0.322 0.197 0.683
23 O 0.416 0.665 0.350
24 O 0.419 0.122 0.995
25 O 0.461 0.803 0.668
26 O 0.473 0.598 0.029
27 O 0.558 0.902 0.340
28 O 0.598 0.473 0.529
29 O 0.627 0.276 0.997
30 O 0.665 0.416 0.850
31 O 0.714 0.966 0.698
32 O 0.749 0.122 0.529
33 O 0.771 0.924 0.999
34 O 0.803 0.461 0.168
35 O 0.902 0.558 0.840
36 O 0.924 0.771 0.499
37 O 0.958 0.251 0.521
38 O 0.966 0.714 0.198

Principal peaks in the range 10° ≤ 2θ ≤ 80°, by angle:
- d = 4.590 Å, I = 89
- d = 4.477 Å, I = 100
- d = 3.856 Å, I = 40
- d = 3.205 Å, I = 51
- d = 2.896 Å, I = 92
- d = 2.585 Å, I = 49